1.
The following is a calculated XRD peak list of Hf6TcBi. It was derived from a structure optimized by DFT (GGA-PBE), using CuKα.
Kinematic intensities with the Lorentz-polarization factor, no thermal factor.

Most intense lines, 2θ from 15° to 90°, sorted by position:
2θ = 29.9°, d 2.987, I = 23
2θ = 32.4°, d 2.762, I = 17
2θ = 32.9°, d 2.723, I = 100
2θ = 34.0°, d 2.636, I = 16
2θ = 36.5°, d 2.464, I = 17
2θ = 38.1°, d 2.361, I = 48
2θ = 47.2°, d 1.926, I = 30
2θ = 50.1°, d 1.820, I = 22
2θ = 52.3°, d 1.748, I = 19
2θ = 67.2°, d 1.393, I = 18

Structure:
```
data_Hf6TcBi
_chemical_formula_sum 'Hf12 Tc2 Bi2'
_cell_length_a 6.1254
_cell_length_b 10.9068
_cell_length_c 6.2200
_cell_angle_alpha 90.00
_cell_angle_beta 117.37
_cell_angle_gamma 90.00
_symmetry_space_group_name_H-M 'C 1 2/m 1'
_symmetry_Int_Tables_number 12
loop_
_symmetry_equiv_pos_as_xyz
'x,y,z'
'-x,-y,-z'
'-x,y,-z'
'x,-y,z'
'x+1/2,y+1/2,z'
'-x+1/2,-y+1/2,-z'
'-x+1/2,y+1/2,-z'
'x+1/2,-y+1/2,z'
loop_
_atom_site_label
_atom_site_fract_x
_atom_site_fract_y
_atom_site_fract_z
Hf1 0.0107 0.2183 0.2677
Hf2 0.0276 0.5000 0.2673
Tc1 0.0000 0.0000 0.5000
Bi1 0.0000 0.0000 0.0000
```

=====

2.
The following is a calculated XRD peak list of HfTcBi2. It was derived from a structure optimized by DFT (GGA-PBE), using CuKα.
Kinematic intensities with the Lorentz-polarization factor, no thermal factor.

Most intense lines, 2θ from 15° to 90°, sorted by position:
2θ = 21.8°, d 4.076, I = 3
2θ = 25.2°, d 3.530, I = 5
2θ = 36.0°, d 2.496, I = 100
2θ = 42.5°, d 2.129, I = 2
2θ = 44.5°, d 2.038, I = 2
2θ = 51.8°, d 1.765, I = 18
2θ = 58.5°, d 1.579, I = 2
2θ = 64.7°, d 1.441, I = 37
2θ = 76.3°, d 1.248, I = 12
2θ = 87.4°, d 1.116, I = 17

Structure:
```
data_HfTcBi2
_chemical_formula_sum 'Hf4 Tc4 Bi8'
_cell_length_a 7.0595
_cell_length_b 7.0595
_cell_length_c 7.0595
_cell_angle_alpha 90.00
_cell_angle_beta 90.00
_cell_angle_gamma 90.00
_symmetry_space_group_name_H-M 'F m -3 m'
_symmetry_Int_Tables_number 225
_symmetry_space_group_name_Hall '-F 4 2 3'
loop_
_atom_site_label
_atom_site_fract_x
_atom_site_fract_y
_atom_site_fract_z
Hf1 0.0000 0.0000 0.0000
Tc1 0.0000 0.0000 0.5000
Bi1 0.2500 0.2500 0.2500
```